1.
# ZnHg
Simulated powder diffraction line list, Cu Kα. Input: the PBE geometry in OQMD.
Intensities are scaled so that the largest is 100.

The 10 most intense peaks (2θ = 5–70°), by angle:
d_spacing	two_theta	Rel. int.
3.106	28.7	24
2.746	32.6	43
2.702	33.2	80
2.630	34.1	91
2.403	37.4	100
2.351	38.3	24
2.164	41.7	95
1.885	48.3	56
1.472	63.2	33
1.411	66.3	24

Cell and atoms:
a b c (Å): 5.2602 13.1423 4.7490
angles (deg): 90.00 90.00 90.00
Fractional coordinates of all 16 atoms:
Zn 0.2500 0.1504 0.1550
Zn 0.2500 0.2500 0.6516
Zn 0.2500 0.3496 0.1550
Zn 0.2500 0.7500 0.5938
Zn 0.7500 0.2500 0.4062
Zn 0.7500 0.6504 0.8450
Zn 0.7500 0.7500 0.3484
Zn 0.7500 0.8496 0.8450
Hg 0.2500 0.0282 0.6359
Hg 0.2500 0.4718 0.6359
Hg 0.2500 0.6266 0.0946
Hg 0.2500 0.8734 0.0946
Hg 0.7500 0.1266 0.9054
Hg 0.7500 0.3734 0.9054
Hg 0.7500 0.5282 0.3641
Hg 0.7500 0.9718 0.3641

2.
# Zn2Hg
Simulated powder diffraction line list, Cu Kα. Input: the PBE geometry in OQMD.
Intensities are scaled so that the largest is 100.

The 10 most intense peaks (2θ = 5–70°), by angle:
d_spacing	two_theta	Rel. int.
4.649	19.1	9
4.383	20.3	16
3.189	28.0	15
2.684	33.4	36
2.324	38.7	4
2.289	39.4	100
2.191	41.2	19
1.697	54.0	19
1.550	59.7	18
1.461	63.7	6

Cell and atoms:
a b c (Å): 5.3681 5.3681 4.3827
angles (deg): 90.00 90.00 120.00
Fractional coordinates of all 6 atoms:
Zn 0.0000 0.0000 0.0000
Zn 0.0000 0.3056 0.5000
Zn 0.3056 0.0000 0.5000
Zn 0.6944 0.6944 0.5000
Hg 0.3333 0.6667 0.0000
Hg 0.6667 0.3333 0.0000

3.
# ZnHg
Simulated powder diffraction line list, Cu Kα. Input: the PBE geometry in OQMD.
Intensities are scaled so that the largest is 100.

The 10 most intense peaks (2θ = 5–70°), by angle:
d_spacing	two_theta	Rel. int.
4.161	21.4	7
3.455	25.8	19
2.805	31.9	11
2.730	32.8	43
2.643	33.9	45
2.426	37.1	10
2.240	40.3	100
1.899	47.9	30
1.462	63.6	20
1.435	65.0	24

Cell and atoms:
a b c (Å): 5.2865 8.3220 5.4597
angles (deg): 90.00 90.00 90.00
Fractional coordinates of all 12 atoms:
Zn 0.0000 0.0845 0.0000
Zn 0.0000 0.4099 0.0238
Zn 0.0000 0.5901 0.5238
Zn 0.0000 0.9155 0.5000
Zn 0.5000 0.4078 0.4640
Zn 0.5000 0.5922 0.9640
Hg 0.0000 0.2612 0.5137
Hg 0.0000 0.7388 0.0137
Hg 0.5000 0.0768 0.4488
Hg 0.5000 0.2764 0.9630
Hg 0.5000 0.7236 0.4630
Hg 0.5000 0.9232 0.9488

4.
# Zn3Hg
Simulated powder diffraction line list, Cu Kα. Input: the PBE geometry in OQMD.
Intensities are scaled so that the largest is 100.

The 10 most intense peaks (2θ = 5–70°), by angle:
d_spacing	two_theta	Rel. int.
5.031	17.6	8
3.419	26.1	34
2.905	30.8	14
2.516	35.7	24
2.331	38.6	26
2.214	40.8	100
1.818	50.2	8
1.761	51.9	8
1.710	53.6	15
1.452	64.1	17

Cell and atoms:
a b c (Å): 5.8098 5.8098 4.6614
angles (deg): 90.00 90.00 120.00
Fractional coordinates of all 8 atoms:
Zn 0.1594 0.3187 0.2500
Zn 0.1594 0.8406 0.2500
Zn 0.3187 0.1594 0.7500
Zn 0.6813 0.8406 0.2500
Zn 0.8406 0.1594 0.7500
Zn 0.8406 0.6813 0.7500
Hg 0.3333 0.6667 0.7500
Hg 0.6667 0.3333 0.2500

5.
# ZrZn2Hg
Simulated powder diffraction line list, Cu Kα. Input: the PBE geometry in OQMD.
Intensities are scaled so that the largest is 100.

The 9 most intense peaks (2θ = 5–70°), by angle:
d_spacing	two_theta	Rel. int.
3.843	23.1	21
3.328	26.8	7
2.353	38.2	100
2.007	45.2	12
1.921	47.3	2
1.664	55.2	17
1.527	60.6	5
1.488	62.4	3
1.359	69.1	34

Cell and atoms:
a b c (Å): 4.7067 4.7067 4.7067
angles (deg): 60.00 60.00 60.00
Fractional coordinates of all 4 atoms:
Zr 0.0000 0.0000 0.0000
Zn 0.5000 0.5000 0.5000
Zn 0.7500 0.7500 0.7500
Hg 0.2500 0.2500 0.2500

6.
# Ho
Simulated powder diffraction line list, Cu Kα. Input: the PBE geometry in OQMD.
Intensities are scaled so that the largest is 100.

The 9 most intense peaks (2θ = 5–70°), by angle:
d_spacing	two_theta	Rel. int.
2.865	31.2	100
2.856	31.3	33
2.479	36.2	67
1.755	52.1	24
1.751	52.2	24
1.496	62.1	42
1.493	62.2	14
1.432	65.1	12
1.428	65.4	4

Cell and atoms:
a b c (Å): 3.5101 3.5101 8.5675
angles (deg): 90.00 90.00 120.00
Fractional coordinates of all 3 atoms:
Ho 0.0000 0.3404 0.1667
Ho 0.3404 0.0000 0.8333
Ho 0.6596 0.6596 0.5000

7.
# Ho
Simulated powder diffraction line list, Cu Kα. Input: the PBE geometry in OQMD.
Intensities are scaled so that the largest is 100.

The 5 most intense peaks (2θ = 5–70°), by angle:
d_spacing	two_theta	Rel. int.
2.865	31.2	100
2.481	36.2	51
1.755	52.1	36
1.496	62.0	43
1.433	65.1	12

Cell and atoms:
a b c (Å): 7.0170 7.0170 7.0170
angles (deg): 60.03 60.03 60.03
Fractional coordinates of all 8 atoms:
Ho 0.2504 0.2504 0.2504
Ho 0.2500 0.2500 0.7504
Ho 0.2500 0.7504 0.2500
Ho 0.2496 0.7500 0.7500
Ho 0.7504 0.2500 0.2500
Ho 0.7500 0.2496 0.7500
Ho 0.7500 0.7500 0.2496
Ho 0.7496 0.7496 0.7496

8.
# Ho
Simulated powder diffraction line list, Cu Kα. Input: the PBE geometry in OQMD.
Intensities are scaled so that the largest is 100.

The 10 most intense peaks (2θ = 5–70°), by angle:
d_spacing	two_theta	Rel. int.
3.105	28.7	24
2.788	32.1	24
2.713	33.0	100
2.074	43.6	16
1.793	50.9	20
1.595	57.8	20
1.553	59.5	3
1.508	61.5	23
1.496	62.0	16
1.356	69.3	4

Cell and atoms:
a b c (Å): 3.5858 3.5858 5.5756
angles (deg): 90.00 90.00 120.00
Fractional coordinates of all 2 atoms:
Ho 0.3333 0.6667 0.2500
Ho 0.6667 0.3333 0.7500